Starting from a GGA-PBE-relaxed structure, the X-ray diffraction stick pattern of UFe10Si2 was calculated for Cu Kα, 1.54184 Å.
No peak broadening, texture or thermal motion is included.

Lattice parameters (Å, degrees): 4.760 11.611 11.632 90.00 90.00 90.00
Space group Fmmm (No. 69)
Unique sites:
U  0.000  0.000  0.000 x4
Fe  0.000  0.108  0.389 x16
Fe  0.000  0.177  0.179 x16
Fe  0.250  0.250  0.000 x8
Si  0.250  0.000  0.250 x8

Largest 10 diffraction maxima, by angle, 15 to 90 degrees two-theta:
hkl 0 0 2, 15.24 deg, d 5.815, I 25
hkl 0 2 2, 21.60 deg, d 4.115, I 35
hkl 1 1 3, 30.74 deg, d 2.909, I 54
hkl 0 4 2, 34.52 deg, d 2.598, I 22
hkl 2 0 0, 37.87 deg, d 2.376, I 73
hkl 2 2 2, 43.99 deg, d 2.058, I 100
hkl 0 4 4, 44.08 deg, d 2.054, I 86
hkl 0 0 8, 64.06 deg, d 1.454, I 14
hkl 3 1 5, 72.60 deg, d 1.302, I 21
hkl 2 6 6, 80.99 deg, d 1.187, I 23



Starting from a GGA-PBE-relaxed structure, the X-ray diffraction stick pattern of Cs2KTlCl6 was calculated for Cu Kα, 1.54184 Å.
No peak broadening, texture or thermal motion is included.

Lattice parameters (Å, degrees): 11.291 11.291 11.291 90.00 90.00 90.00
Space group Fm-3m (No. 225)
Unique sites:
Cs  0.250  0.250  0.250 x8
K  0.000  0.000  0.000 x4
Tl  0.000  0.000  0.500 x4
Cl  0.000  0.000  0.268 x24

Largest 10 diffraction maxima, by angle, 15 to 90 degrees two-theta:
hkl 2 2 0, 22.27 deg, d 3.992, I 100
hkl 3 1 1, 26.18 deg, d 3.404, I 16
hkl 4 0 0, 31.70 deg, d 2.823, I 57
hkl 4 2 2, 39.08 deg, d 2.305, I 46
hkl 4 4 0, 45.44 deg, d 1.996, I 39
hkl 6 2 0, 51.17 deg, d 1.785, I 23
hkl 4 4 4, 56.46 deg, d 1.630, I 13
hkl 6 4 2, 61.45 deg, d 1.509, I 26
hkl 8 4 0, 75.28 deg, d 1.262, I 16
hkl 10 2 0, 88.26 deg, d 1.107, I 15



Starting from a GGA-PBE-relaxed structure, the X-ray diffraction stick pattern of Gd2AgAu was calculated for Cu Kα, 1.54184 Å.
No peak broadening, texture or thermal motion is included.

Lattice parameters (Å, degrees): 7.310 7.310 7.310 90.00 90.00 90.00
Space group Fm-3m (No. 225)
Unique sites:
Gd  0.250  0.250  0.250 x8
Ag  0.000  0.000  0.000 x4
Au  0.000  0.000  0.500 x4

Largest 10 diffraction maxima, by angle, 15 to 90 degrees two-theta:
hkl 1 1 1, 21.05 deg, d 4.220, I 4
hkl 2 2 0, 34.71 deg, d 2.584, I 100
hkl 3 1 1, 40.95 deg, d 2.204, I 3
hkl 4 0 0, 49.91 deg, d 1.827, I 18
hkl 3 3 1, 54.74 deg, d 1.677, I 1
hkl 4 2 2, 62.22 deg, d 1.492, I 37
hkl 5 1 1, 66.46 deg, d 1.407, I 1
hkl 4 4 0, 73.26 deg, d 1.292, I 11
hkl 5 3 1, 77.21 deg, d 1.236, I 1
hkl 6 2 0, 83.68 deg, d 1.156, I 16



Starting from a GGA-PBE-relaxed structure, the X-ray diffraction stick pattern of Cu2SiS3 was calculated for Cu Kα, 1.54184 Å.
No peak broadening, texture or thermal motion is included.

Lattice parameters (Å, degrees): 11.106 6.396 7.076 90.00 120.54 90.00
Space group Cc (No. 9)
Unique sites:
Cu  0.000  0.080  0.000 x4
Cu  0.167  0.414  0.506 x4
Si  0.318  0.085  0.986 x4
S  0.128  0.081  0.372 x4
S  0.293  0.403  0.886 x4
S  0.447  0.077  0.364 x4

Largest 10 diffraction maxima, by angle, 15 to 90 degrees two-theta:
hkl 3 1 -1, 27.86 deg, d 3.202, I 100
hkl 0 0 2, 29.31 deg, d 3.047, I 65
hkl 3 1 0, 31.35 deg, d 2.853, I 29
hkl 0 2 1, 31.59 deg, d 2.832, I 29
hkl 3 1 -2, 31.75 deg, d 2.818, I 29
hkl 3 3 -1, 49.30 deg, d 1.849, I 73
hkl 3 1 2, 53.01 deg, d 1.727, I 25
hkl 0 2 3, 53.43 deg, d 1.715, I 24
hkl 3 1 -4, 53.80 deg, d 1.704, I 24
hkl 3 3 1, 58.17 deg, d 1.586, I 15



Starting from a GGA-PBE-relaxed structure, the X-ray diffraction stick pattern of AlBiSe4 was calculated for Cu Kα, 1.54184 Å.
No peak broadening, texture or thermal motion is included.

Lattice parameters (Å, degrees): 7.348 7.348 12.277 90.00 90.00 90.00
Space group P-42c (No. 112)
Unique sites:
Al  0.000  0.000  0.000 x2
Al  0.500  0.500  0.250 x2
Bi  0.000  0.500  0.047 x4
Se  0.186  0.225  0.900 x8
Se  0.280  0.290  0.164 x8

Largest 10 diffraction maxima, by angle, 15 to 90 degrees two-theta:
hkl 1 1 0, 17.06 deg, d 5.196, I 63
hkl 1 1 2, 22.42 deg, d 3.966, I 79
hkl 1 0 3, 24.90 deg, d 3.575, I 42
hkl 2 0 2, 28.31 deg, d 3.153, I 60
hkl 2 1 2, 30.86 deg, d 2.897, I 44
hkl 1 1 4, 33.92 deg, d 2.643, I 46
hkl 2 2 0, 34.52 deg, d 2.598, I 100
hkl 2 1 3, 35.02 deg, d 2.562, I 58
hkl 2 0 4, 38.21 deg, d 2.355, I 58
hkl 3 1 0, 38.71 deg, d 2.326, I 62



Starting from a GGA-PBE-relaxed structure, the X-ray diffraction stick pattern of NaSnO was calculated for Cu Kα, 1.54184 Å.
No peak broadening, texture or thermal motion is included.

Lattice parameters (Å, degrees): 4.343 4.343 6.521 90.00 90.00 90.00
Space group P4/nmm (No. 129, origin choice 2)
Unique sites:
Na  0.250  0.750  0.000 x2
Sn  0.250  0.250  0.445 x2
O  0.250  0.250  0.138 x2

Largest 10 diffraction maxima, by angle, 15 to 90 degrees two-theta:
hkl 1 0 1, 24.63 deg, d 3.615, I 36
hkl 0 0 2, 27.35 deg, d 3.260, I 31
hkl 1 1 0, 29.08 deg, d 3.071, I 52
hkl 1 1 1, 32.22 deg, d 2.778, I 100
hkl 2 0 0, 41.59 deg, d 2.172, I 42
hkl 1 0 3, 46.73 deg, d 1.944, I 28
hkl 2 0 2, 50.50 deg, d 1.807, I 23
hkl 2 1 3, 64.32 deg, d 1.448, I 22
hkl 3 1 1, 70.01 deg, d 1.344, I 23
hkl 2 1 4, 76.24 deg, d 1.249, I 24



Starting from a GGA-PBE-relaxed structure, the X-ray diffraction stick pattern of Ho5Tl3 was calculated for Cu Kα, 1.54184 Å.
No peak broadening, texture or thermal motion is included.

Lattice parameters (Å, degrees): 8.9614 8.9614 6.7185 90.00 90.00 120.00
Space group P6_3/mcm (No. 193)
Unique sites:
Ho  0.0000  0.2355  0.2500 x6
Ho  0.3333  0.6667  0.0000 x4
Tl  0.0000  0.4026  0.7500 x6

Largest 10 diffraction maxima, by angle, 15 to 90 degrees two-theta:
hkl 0 0 2, 26.53 deg, d 3.359, I 14
hkl 2 1 0, 30.47 deg, d 2.933, I 16
hkl 1 1 2, 33.33 deg, d 2.688, I 100
hkl 3 0 0, 34.68 deg, d 2.587, I 18
hkl 3 1 1, 44.18 deg, d 2.050, I 10
hkl 2 1 3, 51.33 deg, d 1.780, I 18
hkl 0 0 4, 54.64 deg, d 1.680, I 12
hkl 5 0 0, 59.57 deg, d 1.552, I 8
hkl 3 3 1, 63.85 deg, d 1.458, I 10
hkl 5 0 2, 66.35 deg, d 1.409, I 18